1.
This entry pairs a crystal structure of Ba2CuCN2O2 with its calculated powder diffractogram. Radiation: copper Kα. Structure: the GGA-PBE geometry in the Materials Project.

Peak list (12 most intense, 15 to 90 degrees two-theta, by angle)
hkl 0 0 2, 20.67 deg, I = 12
hkl 1 0 0, 22.50 deg, I = 24
hkl 1 0 2, 30.74 deg, I = 100
hkl 1 1 0, 32.02 deg, I = 49
hkl 1 1 2, 38.42 deg, I = 23
hkl 1 0 3, 38.83 deg, I = 23
hkl 2 0 0, 45.92 deg, I = 25
hkl 1 1 4, 53.82 deg, I = 11
hkl 2 1 2, 56.28 deg, I = 35
hkl 2 1 3, 61.66 deg, I = 11
hkl 2 0 4, 64.02 deg, I = 10
hkl 1 0 7, 82.27 deg, I = 9

Structure:
```
data_Ba2CuCN2O2
_space_group_name_H-M_alt 'P 4/m m m'
_space_group_IT_number 123
_space_group_name_Hall '-P 4 2'
_cell_length_a 3.9524
_cell_length_b 3.9524
_cell_length_c 8.5937
_cell_angle_alpha 90.00
_cell_angle_beta 90.00
_cell_angle_gamma 90.00
loop_
_atom_site_label
_atom_site_type_symbol
_atom_site_fract_x
_atom_site_fract_y
_atom_site_fract_z
Ba1 Ba 0.0000 0.0000 0.2229
Cu1 Cu 0.5000 0.5000 0.0000
C1 C 0.5000 0.5000 0.5000
N1 N 0.5000 0.5000 0.3552
O1 O 0.0000 0.5000 0.0000
```

=====

2.
This entry pairs a crystal structure of MgHg3 with its calculated powder diffractogram. Radiation: copper Kα. Structure: the GGA-PBE geometry in the Materials Project.

Peak list (12 most intense, 15 to 90 degrees two-theta, by angle)
hkl 1 0 0, 19.30 deg, I = 22
hkl 1 1 0, 27.42 deg, I = 20
hkl 1 1 1, 33.75 deg, I = 100
hkl 2 0 0, 39.17 deg, I = 50
hkl 2 1 0, 44.02 deg, I = 11
hkl 2 1 1, 48.48 deg, I = 9
hkl 2 2 0, 56.60 deg, I = 35
hkl 3 0 0, 60.37 deg, I = 6
hkl 3 1 1, 67.55 deg, I = 41
hkl 2 2 2, 70.99 deg, I = 12
hkl 3 2 1, 77.68 deg, I = 5
hkl 4 0 0, 84.20 deg, I = 6

Structure:
```
data_MgHg3
_space_group_name_H-M_alt 'P m -3 m'
_space_group_IT_number 221
_space_group_name_Hall '-P 4 2 3'
_cell_length_a 4.5995
_cell_length_b 4.5995
_cell_length_c 4.5995
_cell_angle_alpha 90.00
_cell_angle_beta 90.00
_cell_angle_gamma 90.00
loop_
_atom_site_label
_atom_site_type_symbol
_atom_site_fract_x
_atom_site_fract_y
_atom_site_fract_z
Mg1 Mg 0.0000 0.0000 0.0000
Hg1 Hg 0.0000 0.5000 0.5000
```

=====

3.
This entry pairs a crystal structure of NdSi3Os with its calculated powder diffractogram. Radiation: copper Kα. Structure: the GGA-PBE geometry in the Materials Project.

Peak list (12 most intense, 15 to 90 degrees two-theta, by angle)
hkl 0 0 2, 17.81 deg, I = 23
hkl 1 0 1, 22.71 deg, I = 52
hkl 1 1 0, 29.67 deg, I = 62
hkl 1 0 3, 34.25 deg, I = 100
hkl 1 1 2, 34.82 deg, I = 41
hkl 2 0 0, 42.46 deg, I = 45
hkl 1 0 5, 50.59 deg, I = 18
hkl 2 1 3, 55.64 deg, I = 50
hkl 2 2 0, 61.60 deg, I = 15
hkl 1 1 6, 64.05 deg, I = 18
hkl 2 1 5, 68.12 deg, I = 15
hkl 3 2 3, 87.71 deg, I = 14

Structure:
```
data_NdSi3Os
_space_group_name_H-M_alt 'I 4 m m'
_space_group_IT_number 107
_space_group_name_Hall 'I 4 -2'
_cell_length_a 4.2581
_cell_length_b 4.2581
_cell_length_c 9.9603
_cell_angle_alpha 90.00
_cell_angle_beta 90.00
_cell_angle_gamma 90.00
loop_
_atom_site_label
_atom_site_type_symbol
_atom_site_fract_x
_atom_site_fract_y
_atom_site_fract_z
Nd1 Nd 0.0000 0.0000 0.0000
Si1 Si 0.0000 0.0000 0.4190
Si2 Si 0.0000 0.5000 0.2619
Os1 Os 0.0000 0.0000 0.6558
```

=====

4.
This entry pairs a crystal structure of PmMgS3 with its calculated powder diffractogram. Radiation: copper Kα. Structure: the GGA-PBE geometry in the Materials Project.

Peak list (12 most intense, 15 to 90 degrees two-theta, by angle)
hkl 0 2 0, 15.45 deg, I = 77
hkl 1 1 -1, 16.17 deg, I = 100
hkl 1 1 1, 24.95 deg, I = 24
hkl 1 3 -1, 27.35 deg, I = 47
hkl 0 0 2, 29.81 deg, I = 22
hkl 2 2 0, 29.93 deg, I = 28
hkl 1 3 1, 33.44 deg, I = 28
hkl 0 2 2, 33.74 deg, I = 36
hkl 3 1 -1, 34.94 deg, I = 33
hkl 1 1 -3, 41.45 deg, I = 22
hkl 3 3 -2, 43.21 deg, I = 23
hkl 0 4 2, 43.68 deg, I = 17

Structure:
```
data_PmMgS3
_space_group_name_H-M_alt 'C 1 2/m 1'
_space_group_IT_number 12
_space_group_name_Hall '-C 2y'
_cell_length_a 7.9404
_cell_length_b 11.4714
_cell_length_c 6.8073
_cell_angle_alpha 90.00
_cell_angle_beta 118.29
_cell_angle_gamma 90.00
loop_
_atom_site_label
_atom_site_type_symbol
_atom_site_fract_x
_atom_site_fract_y
_atom_site_fract_z
Pm1 Pm 0.2146 0.0000 0.2588
Mg1 Mg 0.0000 0.3396 0.0000
S1 S 0.0730 0.5000 0.2811
S2 S 0.0794 0.1542 0.8526
```

=====

5.
This entry pairs a crystal structure of NaSrTbBiO6 with its calculated powder diffractogram. Radiation: copper Kα. Structure: the GGA-PBE geometry in the Materials Project.

Peak list (12 most intense, 15 to 90 degrees two-theta, by angle)
hkl 1 1 1, 17.78 deg, I = 8
hkl 2 0 0, 20.55 deg, I = 49
hkl 2 2 0, 29.23 deg, I = 100
hkl 4 0 0, 41.81 deg, I = 32
hkl 4 2 0, 47.02 deg, I = 23
hkl 4 2 2, 51.83 deg, I = 42
hkl 4 4 0, 60.61 deg, I = 20
hkl 6 0 0, 64.72 deg, I = 11
hkl 6 2 0, 68.69 deg, I = 19
hkl 4 4 4, 76.35 deg, I = 7
hkl 6 4 0, 80.07 deg, I = 5
hkl 6 4 2, 83.76 deg, I = 22

Structure:
```
data_NaSrTbBiO6
_space_group_name_H-M_alt 'F -4 3 m'
_space_group_IT_number 216
_space_group_name_Hall 'F -4 2 3'
_cell_length_a 8.6419
_cell_length_b 8.6419
_cell_length_c 8.6419
_cell_angle_alpha 90.00
_cell_angle_beta 90.00
_cell_angle_gamma 90.00
loop_
_atom_site_label
_atom_site_type_symbol
_atom_site_fract_x
_atom_site_fract_y
_atom_site_fract_z
Na1 Na 0.0000 0.0000 0.0000
Sr1 Sr 0.0000 0.0000 0.5000
Tb1 Tb 0.2500 0.2500 0.7500
Bi1 Bi 0.2500 0.2500 0.2500
O1 O 0.0067 0.2500 0.2500
```

=====

6.
This entry pairs a crystal structure of CaC with its calculated powder diffractogram. Radiation: copper Kα. Structure: the GGA-PBE geometry in the Materials Project.

Peak list (8 most intense, 15 to 90 degrees two-theta, by angle)
hkl 1 1 1, 29.24 deg, I = 69
hkl 2 0 0, 33.88 deg, I = 100
hkl 2 2 0, 48.68 deg, I = 62
hkl 3 1 1, 57.80 deg, I = 29
hkl 2 2 2, 60.63 deg, I = 19
hkl 4 0 0, 71.30 deg, I = 8
hkl 3 3 1, 78.86 deg, I = 11
hkl 4 2 0, 81.33 deg, I = 23

Structure:
```
data_CaC
_space_group_name_H-M_alt 'F m -3 m'
_space_group_IT_number 225
_space_group_name_Hall '-F 4 2 3'
_cell_length_a 5.2909
_cell_length_b 5.2909
_cell_length_c 5.2909
_cell_angle_alpha 90.00
_cell_angle_beta 90.00
_cell_angle_gamma 90.00
loop_
_atom_site_label
_atom_site_type_symbol
_atom_site_fract_x
_atom_site_fract_y
_atom_site_fract_z
Ca1 Ca 0.0000 0.0000 0.0000
C1 C 0.0000 0.0000 0.5000
```